Hf3Co2W2: calculated powder X-ray diffraction pattern (Cu Kα X-rays), based on the GGA-PBE geometry in OQMD.
Kinematic intensities with the Lorentz-polarization factor, no thermal factor.

Principal peaks in the range 10° ≤ 2θ ≤ 80°, by angle:
| Position (°2θ) | d (Å) | Rel. int. |
| --- | --- | --- |
| 24.39 | 3.650 | 325 |
| 30.89 | 2.894 | 128 |
| 37.07 | 2.425 | 109 |
| 40.33 | 2.237 | 1000 |
| 40.50 | 2.227 | 915 |
| 47.74 | 1.905 | 145 |
| 58.48 | 1.578 | 312 |
| 73.31 | 1.291 | 172 |
| 73.43 | 1.289 | 317 |
| 73.80 | 1.284 | 125 |

```
Hf3Co2W2
1.0
2.237 1.291 7.258
-2.237 1.291 7.258
0.000 -2.583 7.258
Hf Co W
3 2 2
Cartesian
0.000 0.000 0.000
0.000 0.000 5.433
0.000 0.000 16.295
0.000 0.000 8.145
0.000 0.000 18.762
0.000 0.000 2.862
0.000 0.000 13.417
```